For Na2CdO2, DFT lattice parameters and positions (GGA-PBE) gives the theoretical powder X-ray diffraction pattern in this record (a wavelength of 1.5418 Å).
Intensities are scaled so that the largest is 100.

Structure:
```
40
Lattice="7.7006 -5.4006 0.0000 7.7006 5.4006 0.0000 -7.6653 0.0000 7.7249" Properties=species:S:1:pos:R:3 pbc="T T T"
Na -2.2626 0.0000 3.6920
Na -5.4506 0.1367 7.6020
Na 1.6250 2.3893 4.0660
Na 0.1467 -0.4608 1.9715
Na 0.1447 0.1383 5.4333
Na 6.1110 2.3893 3.6589
Na 3.9181 -0.1239 2.3170
Na 1.9326 -2.5490 3.6523
Na 3.8179 -0.1239 5.4079
Na 7.5913 0.1383 2.2917
Na 4.0340 -3.0165 1.7159
Na 13.1866 0.1367 0.1230
Na 5.8034 -2.5490 4.0726
Na 7.5893 -0.4608 5.7535
Na 3.7020 -3.0165 6.0090
Na 9.9986 0.0000 4.0329
Cd 3.7318 2.8707 1.9384
Cd 6.1300 2.6205 0.0018
Cd 1.6060 2.6205 7.7232
Cd 4.0041 2.8707 5.7865
Cd -1.9678 -0.4513 7.6247
Cd 0.1792 -2.9189 6.0734
Cd 9.7038 -0.4513 0.1002
Cd 7.5568 -2.9189 1.6515
O -0.2512 1.2597 3.5070
O 5.7318 3.8684 1.8649
O 2.0042 3.8684 5.8600
O 4.2301 1.2479 0.3218
O 3.8680 1.6509 3.8625
O 2.1604 -1.4759 1.6225
O -1.7019 -1.4981 5.6906
O 7.7006 0.9488 0.0000
O 3.5059 1.2479 7.4032
O 1.8600 -1.4367 5.8670
O 5.8760 -1.4367 1.8579
O 7.9872 1.2597 4.2180
O 3.8680 -3.7968 3.8625
O 9.4379 -1.4981 2.0344
O 5.5756 -1.4759 6.1025
O 7.7006 -4.3746 0.0000
```

Main lines, low angle first (2θ = 10–90°):
2theta	I/Imax
11.49	100
19.95	79
28.44	35
30.68	42
30.76	31
30.86	52
32.92	28
38.90	66
47.32	31
47.44	34

=====

For Na2CdO2, DFT lattice parameters and positions (GGA-PBE) gives the theoretical powder X-ray diffraction pattern in this record (a wavelength of 1.5418 Å).
Intensities are scaled so that the largest is 100.

Structure:
```
10
Lattice="-3.0022 4.3415 3.1370 3.0022 -4.3415 3.1370 3.0022 4.3415 -3.1370" Properties=species:S:1:pos:R:3 pbc="T T T"
Na 0.6115 1.3242 0.0000
Na 3.6137 3.0173 0.0000
Na -0.6115 1.3242 3.1370
Na 2.3907 3.0173 3.1370
Cd 3.0022 0.0000 1.5685
Cd 0.0000 4.3415 1.5685
O 4.3722 0.8576 0.0000
O 1.3700 3.4839 0.0000
O 1.6322 0.8576 3.1370
O -1.3700 3.4839 3.1370
```

Main lines, low angle first (2θ = 10–90°):
2theta	I/Imax
17.96	100
20.46	48
29.76	14
33.85	80
34.40	49
35.30	29
36.38	18
41.64	23
46.82	32
51.17	20

=====

For NaCd4O4, DFT lattice parameters and positions (GGA-PBE) gives the theoretical powder X-ray diffraction pattern in this record (a wavelength of 1.5418 Å).
Intensities are scaled so that the largest is 100.

Structure:
```
9
Lattice="5.3608 -2.4150 0.0000 5.3608 2.4150 0.0000 -5.3506 0.0000 5.3606" Properties=species:S:1:pos:R:3 pbc="T T T"
Na 0.0000 0.0000 0.0000
Cd -2.2423 0.0000 4.2657
Cd 1.0985 0.0000 3.1112
Cd 4.2725 0.0000 2.2493
Cd 7.6133 0.0000 1.0949
O -1.0374 0.0000 2.2583
O 2.2650 0.0000 1.0422
O 3.1060 0.0000 4.3183
O 6.4084 0.0000 3.1023
```

Main lines, low angle first (2θ = 10–90°):
2theta	I/Imax
16.54	24
23.47	8
32.26	100
37.23	28
37.52	53
53.89	34
54.10	17
64.02	14
64.38	18
67.51	17